For Ce12Pu2Au5, a cell relaxed with PBE gives the calculated XRD peak list in this record (Cu Ka).
Kinematic intensities with the Lorentz-polarization factor, no thermal factor.

```
data_Ce12Pu2Au5
_symmetry_space_group_name_H-M 'C 1 2/m 1'
_symmetry_Int_Tables_number 12
_cell_length_a 18.6557
_cell_length_b 6.8590
_cell_length_c 8.5643
_cell_angle_alpha 90.00
_cell_angle_beta 117.24
_cell_angle_gamma 90.00
loop_
_symmetry_equiv_pos_as_xyz
'x,y,z'
'-x,-y,-z'
'-x,y,-z'
'x,-y,z'
'x+1/2,y+1/2,z'
'-x+1/2,-y+1/2,-z'
'-x+1/2,y+1/2,-z'
'x+1/2,-y+1/2,z'
loop_
_atom_site_label
_atom_site_type_symbol
_atom_site_fract_x
_atom_site_fract_y
_atom_site_fract_z
Ce1 Ce 0.0002 0.0000 0.2209
Ce2 Ce 0.0005 0.5000 0.3231
Ce3 Ce 0.1510 0.2023 0.1514
Ce4 Ce 0.1515 0.2122 0.6520
Pu1 Pu 0.0000 0.1904 0.5000
Au1 Au 0.0000 0.5000 0.0000
Au2 Au 0.2276 0.5000 0.4758
Au3 Au 0.2278 0.5000 0.9799
```

Peak list (10 most intense, 2θ = 15–90°, low angle first)
d [Å], 2θ (°), I/Imax, h k l
4.147, 21.4, 28, 4 0 0
3.036, 29.4, 27, 1 1 2
2.982, 30.0, 28, 2 0 2
2.977, 30.0, 22, 6 0 -2
2.763, 32.4, 34, 6 0 0
2.677, 33.5, 100, 2 2 -2
2.642, 33.9, 70, 4 2 0
2.323, 38.8, 36, 4 0 2
2.141, 42.2, 36, 4 0 -4
1.536, 60.3, 31, 5 3 2



For Ce3Pu3Au5, a cell relaxed with PBE gives the calculated XRD peak list in this record (Cu Ka).
Kinematic intensities with the Lorentz-polarization factor, no thermal factor.

```
data_Ce3Pu3Au5
_symmetry_space_group_name_H-M 'P -6 2 m'
_symmetry_Int_Tables_number 189
_symmetry_space_group_name_Hall 'P -6 -2'
_cell_length_a 9.5823
_cell_length_b 9.5823
_cell_length_c 3.4561
_cell_angle_alpha 90.00
_cell_angle_beta 90.00
_cell_angle_gamma 120.00
loop_
_atom_site_label
_atom_site_type_symbol
_atom_site_fract_x
_atom_site_fract_y
_atom_site_fract_z
Ce1 Ce 0.0000 0.4075 0.0000
Pu1 Pu 0.0000 0.1843 0.5000
Au1 Au 0.0000 0.6498 0.5000
Au2 Au 0.3333 0.6667 0.5000
```

Peak list (10 most intense, 2θ = 15–90°, low angle first)
d [Å], 2θ (°), I/Imax, h k l
3.456, 25.8, 52, 0 0 1
3.137, 28.5, 59, 2 1 0
2.803, 31.9, 43, 1 1 1
2.766, 32.4, 50, 3 0 0
2.396, 37.5, 33, 2 2 0
2.323, 38.8, 100, 2 1 1
2.302, 39.1, 48, 3 1 0
1.969, 46.1, 65, 2 2 1
1.382, 67.8, 32, 6 0 0
1.284, 73.8, 29, 6 0 1



For Ce4Pu2Au5, a cell relaxed with PBE gives the calculated XRD peak list in this record (Cu Ka).
Kinematic intensities with the Lorentz-polarization factor, no thermal factor.

```
data_Ce4Pu2Au5
_symmetry_space_group_name_H-M 'P b a m'
_symmetry_Int_Tables_number 55
_cell_length_a 7.7863
_cell_length_b 18.1426
_cell_length_c 3.7830
_cell_angle_alpha 90.00
_cell_angle_beta 90.00
_cell_angle_gamma 90.00
loop_
_symmetry_equiv_pos_as_xyz
'x,y,z'
'-x,-y,-z'
'-x,-y,z'
'x,y,-z'
'x+1/2,-y+1/2,-z'
'-x+1/2,y+1/2,z'
'-x+1/2,y+1/2,-z'
'x+1/2,-y+1/2,z'
loop_
_atom_site_label
_atom_site_type_symbol
_atom_site_fract_x
_atom_site_fract_y
_atom_site_fract_z
Ce1 Ce 0.1193 0.1448 0.0000
Ce2 Ce 0.2091 0.4339 0.0000
Pu1 Pu 0.0146 0.6957 0.0000
Au1 Au 0.0000 0.0000 0.5000
Au2 Au 0.1204 0.5649 0.5000
Au3 Au 0.2040 0.7959 0.5000
```

Peak list (10 most intense, 2θ = 15–90°, low angle first)
d [Å], 2θ (°), I/Imax, h k l
2.722, 32.9, 100, 1 4 1
2.683, 33.4, 29, 2 1 1
2.599, 34.5, 88, 2 2 1
2.495, 36.0, 24, 3 2 0
2.482, 36.2, 61, 1 5 1
2.475, 36.3, 20, 2 3 1
2.459, 36.5, 34, 1 7 0
2.386, 37.7, 52, 3 3 0
1.891, 48.1, 34, 0 0 2
1.508, 61.5, 20, 3 2 2



For CePuAu, a cell relaxed with PBE gives the calculated XRD peak list in this record (Cu Ka).
Kinematic intensities with the Lorentz-polarization factor, no thermal factor.

```
data_CePuAu
_symmetry_space_group_name_H-M 'I 4 m m'
_symmetry_Int_Tables_number 107
_symmetry_space_group_name_Hall 'I 4 -2'
_cell_length_a 3.7209
_cell_length_b 3.7209
_cell_length_c 10.2400
_cell_angle_alpha 90.00
_cell_angle_beta 90.00
_cell_angle_gamma 90.00
loop_
_atom_site_label
_atom_site_type_symbol
_atom_site_fract_x
_atom_site_fract_y
_atom_site_fract_z
Ce1 Ce 0.0000 0.0000 0.0000
Pu1 Pu 0.0000 0.0000 0.6585
Au1 Au 0.0000 0.0000 0.3303
```

Peak list (10 most intense, 2θ = 15–90°, low angle first)
d [Å], 2θ (°), I/Imax, h k l
2.631, 34.1, 57, 1 1 0
2.515, 35.7, 100, 1 0 3
1.860, 49.0, 21, 2 0 0
1.707, 53.7, 8, 0 0 6
1.496, 62.0, 41, 2 1 3
1.432, 65.2, 18, 1 1 6
1.316, 71.7, 7, 2 2 0
1.258, 75.6, 12, 2 0 6
1.177, 81.9, 10, 3 1 0
1.166, 82.8, 9, 3 0 3



For Rb2CeAu2S4, a cell relaxed with PBE gives the calculated XRD peak list in this record (Cu Ka).
Kinematic intensities with the Lorentz-polarization factor, no thermal factor.

```
data_Rb2CeAu2S4
_symmetry_space_group_name_H-M 'C 1 2/m 1'
_symmetry_Int_Tables_number 12
_cell_length_a 16.6176
_cell_length_b 4.2621
_cell_length_c 7.7060
_cell_angle_alpha 90.00
_cell_angle_beta 111.84
_cell_angle_gamma 90.00
loop_
_symmetry_equiv_pos_as_xyz
'x,y,z'
'-x,-y,-z'
'-x,y,-z'
'x,-y,z'
'x+1/2,y+1/2,z'
'-x+1/2,-y+1/2,-z'
'-x+1/2,y+1/2,-z'
'x+1/2,-y+1/2,z'
loop_
_atom_site_label
_atom_site_type_symbol
_atom_site_fract_x
_atom_site_fract_y
_atom_site_fract_z
Rb1 Rb 0.1367 0.0000 0.0969
Ce1 Ce 0.0000 0.0000 0.5000
Au1 Au 0.1529 0.5000 0.5397
S1 S 0.0089 0.5000 0.2678
S2 S 0.1844 0.0000 0.6958
```

Peak list (10 most intense, 2θ = 15–90°, low angle first)
d [Å], 2θ (°), I/Imax, h k l
3.834, 23.2, 31, 2 0 -2
3.725, 23.9, 31, 1 1 -1
3.576, 24.9, 37, 0 0 2
3.306, 27.0, 36, 4 0 -2
3.293, 27.1, 89, 3 1 -1
2.768, 32.3, 95, 3 1 -2
2.746, 32.6, 100, 3 1 1
2.571, 34.9, 40, 6 0 0
2.175, 41.5, 36, 3 1 2
2.131, 42.4, 36, 0 2 0



For RbCe2AuS5, a cell relaxed with PBE gives the calculated XRD peak list in this record (Cu Ka).
Kinematic intensities with the Lorentz-polarization factor, no thermal factor.

```
data_RbCe2AuS5
_symmetry_space_group_name_H-M 'I 4/m c m'
_symmetry_Int_Tables_number 140
_symmetry_space_group_name_Hall '-I 4 2c'
_cell_length_a 7.8032
_cell_length_b 7.8032
_cell_length_c 14.5001
_cell_angle_alpha 90.00
_cell_angle_beta 90.00
_cell_angle_gamma 90.00
loop_
_atom_site_label
_atom_site_type_symbol
_atom_site_fract_x
_atom_site_fract_y
_atom_site_fract_z
Rb1 Rb 0.0000 0.0000 0.2500
Ce1 Ce 0.1653 0.3347 0.0000
Au1 Au 0.0000 0.5000 0.2500
S1 S 0.0000 0.0000 0.0000
S2 S 0.1432 0.3568 0.3829
```

Peak list (10 most intense, 2θ = 15–90°, low angle first)
d [Å], 2θ (°), I/Imax, h k l
5.518, 16.1, 41, 1 1 0
3.625, 24.6, 40, 0 0 4
3.436, 25.9, 100, 2 0 2
3.393, 26.3, 22, 2 1 1
2.829, 31.6, 59, 2 1 3
2.759, 32.5, 29, 2 2 0
2.336, 38.5, 40, 3 1 2
2.230, 40.4, 35, 2 1 5
2.195, 41.1, 28, 2 2 4
2.054, 44.1, 23, 2 0 6



For RbCe4Au3S12, a cell relaxed with PBE gives the calculated XRD peak list in this record (Cu Ka).
Kinematic intensities with the Lorentz-polarization factor, no thermal factor.

```
data_RbCe4Au3S12
_symmetry_space_group_name_H-M 'I m -3'
_symmetry_Int_Tables_number 204
_symmetry_space_group_name_Hall '-I 2 2 3'
_cell_length_a 10.0551
_cell_length_b 10.0551
_cell_length_c 10.0551
_cell_angle_alpha 90.00
_cell_angle_beta 90.00
_cell_angle_gamma 90.00
loop_
_atom_site_label
_atom_site_type_symbol
_atom_site_fract_x
_atom_site_fract_y
_atom_site_fract_z
Rb1 Rb 0.0000 0.0000 0.0000
Ce1 Ce 0.2500 0.2500 0.2500
Au1 Au 0.0000 0.0000 0.5000
S1 S 0.0000 0.1620 0.3218
```

Peak list (10 most intense, 2θ = 15–90°, low angle first)
d [Å], 2θ (°), I/Imax, h k l
4.105, 21.6, 6, 2 1 1
3.555, 25.0, 100, 2 2 0
2.514, 35.7, 25, 4 0 0
2.052, 44.1, 62, 4 2 2
1.778, 51.4, 15, 4 4 0
1.590, 58.0, 24, 6 0 2
1.451, 64.2, 6, 4 4 4
1.344, 70.0, 24, 6 4 2
1.185, 81.2, 18, 6 6 0
1.124, 86.6, 7, 8 0 4



For Ce5ReAu2, a cell relaxed with PBE gives the calculated XRD peak list in this record (Cu Ka).
Kinematic intensities with the Lorentz-polarization factor, no thermal factor.

```
data_Ce5ReAu2
_symmetry_space_group_name_H-M 'P b a m'
_symmetry_Int_Tables_number 55
_cell_length_a 7.6276
_cell_length_b 11.7486
_cell_length_c 4.6160
_cell_angle_alpha 90.00
_cell_angle_beta 90.00
_cell_angle_gamma 90.00
loop_
_symmetry_equiv_pos_as_xyz
'x,y,z'
'-x,-y,-z'
'-x,-y,z'
'x,y,-z'
'x+1/2,-y+1/2,-z'
'-x+1/2,y+1/2,z'
'-x+1/2,y+1/2,-z'
'x+1/2,-y+1/2,z'
loop_
_atom_site_label
_atom_site_type_symbol
_atom_site_fract_x
_atom_site_fract_y
_atom_site_fract_z
Ce1 Ce 0.0000 0.0000 0.0000
Ce2 Ce 0.1326 0.2866 0.0000
Ce3 Ce 0.2056 0.5606 0.5000
Re1 Re 0.0000 0.5000 0.0000
Au1 Au 0.0952 0.8207 0.5000
```

Peak list (10 most intense, 2θ = 15–90°, low angle first)
d [Å], 2θ (°), I/Imax, h k l
2.939, 30.4, 30, 0 4 0
2.852, 31.4, 100, 2 1 1
2.781, 32.2, 39, 1 3 1
2.741, 32.7, 44, 1 4 0
2.629, 34.1, 69, 2 2 1
2.478, 36.3, 25, 0 4 1
2.308, 39.0, 52, 0 0 2
2.080, 43.5, 23, 3 2 1
1.814, 50.3, 27, 4 2 0
1.765, 51.8, 29, 1 4 2



For Ce4RhAu2, a cell relaxed with PBE gives the calculated XRD peak list in this record (Cu Ka).
Kinematic intensities with the Lorentz-polarization factor, no thermal factor.

```
data_Ce4RhAu2
_symmetry_space_group_name_H-M 'C m m m'
_symmetry_Int_Tables_number 65
_symmetry_space_group_name_Hall '-C 2 2'
_cell_length_a 7.0275
_cell_length_b 10.1187
_cell_length_c 5.1852
_cell_angle_alpha 90.00
_cell_angle_beta 90.00
_cell_angle_gamma 90.00
loop_
_atom_site_label
_atom_site_type_symbol
_atom_site_fract_x
_atom_site_fract_y
_atom_site_fract_z
Ce1 Ce 0.2064 0.0000 0.0000
Ce2 Ce 0.2500 0.2500 0.5000
Rh1 Rh 0.0000 0.0000 0.5000
Au1 Au 0.0000 0.2842 0.0000
```

Peak list (10 most intense, 2θ = 15–90°, low angle first)
d [Å], 2θ (°), I/Imax, h k l
5.185, 17.1, 12, 0 0 1
5.059, 17.5, 9, 0 2 0
3.041, 29.4, 15, 1 3 0
2.593, 34.6, 31, 0 0 2
2.530, 35.5, 22, 0 4 0
2.522, 35.6, 100, 2 2 1
2.089, 43.3, 9, 3 1 1
1.811, 50.4, 16, 0 4 2
1.483, 62.7, 19, 2 2 3
1.459, 63.8, 10, 2 6 1



For Ce12RhAu6, a cell relaxed with PBE gives the calculated XRD peak list in this record (Cu Ka).
Kinematic intensities with the Lorentz-polarization factor, no thermal factor.

```
data_Ce12RhAu6
_symmetry_space_group_name_H-M 'R -3'
_symmetry_Int_Tables_number 148
_symmetry_space_group_name_Hall '-R 3'
_cell_length_a 11.3067
_cell_length_b 11.3067
_cell_length_c 12.6691
_cell_angle_alpha 90.00
_cell_angle_beta 90.00
_cell_angle_gamma 120.00
loop_
_atom_site_label
_atom_site_type_symbol
_atom_site_fract_x
_atom_site_fract_y
_atom_site_fract_z
Ce1 Ce 0.0507 0.8583 0.3222
Ce2 Ce 0.0618 0.2229 0.8838
Rh1 Rh 0.0000 0.0000 0.5000
Au1 Au 0.0304 0.5854 0.2166
```

Peak list (10 most intense, 2θ = 15–90°, low angle first)
d [Å], 2θ (°), I/Imax, h k l
3.383, 26.3, 12, 2 -1 3
2.656, 33.7, 100, 4 -3 1
2.583, 34.7, 21, 0 3 3
2.496, 36.0, 50, 3 1 2
2.453, 36.6, 17, 0 1 5
2.406, 37.4, 30, 2 1 4
2.349, 38.3, 9, 4 -2 3
2.091, 43.3, 14, 3 -2 5
1.470, 63.3, 15, 7 -2 3
1.368, 68.6, 9, 4 -1 8



For Ce5Rh2Au4, a cell relaxed with PBE gives the calculated XRD peak list in this record (Cu Ka).
Kinematic intensities with the Lorentz-polarization factor, no thermal factor.

```
data_Ce5Rh2Au4
_symmetry_space_group_name_H-M 'P b a m'
_symmetry_Int_Tables_number 55
_cell_length_a 7.6458
_cell_length_b 17.9388
_cell_length_c 3.6475
_cell_angle_alpha 90.00
_cell_angle_beta 90.00
_cell_angle_gamma 90.00
loop_
_symmetry_equiv_pos_as_xyz
'x,y,z'
'-x,-y,-z'
'-x,-y,z'
'x,y,-z'
'x+1/2,-y+1/2,-z'
'-x+1/2,y+1/2,z'
'-x+1/2,y+1/2,-z'
'x+1/2,-y+1/2,z'
loop_
_atom_site_label
_atom_site_type_symbol
_atom_site_fract_x
_atom_site_fract_y
_atom_site_fract_z
Ce1 Ce 0.0000 0.0000 0.0000
Ce2 Ce 0.1311 0.4225 0.0000
Ce3 Ce 0.2425 0.2152 0.0000
Rh1 Rh 0.0379 0.3045 0.5000
Au1 Au 0.0759 0.8508 0.5000
Au2 Au 0.2097 0.5693 0.5000
```

Peak list (10 most intense, 2θ = 15–90°, low angle first)
d [Å], 2θ (°), I/Imax, h k l
2.830, 31.6, 22, 0 4 1
2.654, 33.8, 100, 1 4 1
2.612, 34.3, 25, 2 1 1
2.532, 35.5, 67, 2 2 1
2.452, 36.7, 41, 3 2 0
2.428, 37.0, 53, 1 7 0
2.414, 37.2, 31, 2 3 1
2.355, 38.2, 26, 2 6 0
1.824, 50.0, 28, 0 0 2
1.463, 63.6, 19, 3 2 2



For Ce3Si6Rh2Au, a cell relaxed with PBE gives the calculated XRD peak list in this record (Cu Ka).
Kinematic intensities with the Lorentz-polarization factor, no thermal factor.

```
data_Ce3Si6Rh2Au
_symmetry_space_group_name_H-M 'P -3 m 1'
_symmetry_Int_Tables_number 164
_symmetry_space_group_name_Hall '-P 3 2"'
_cell_length_a 5.4463
_cell_length_b 5.4463
_cell_length_c 8.9804
_cell_angle_alpha 90.00
_cell_angle_beta 90.00
_cell_angle_gamma 120.00
loop_
_atom_site_label
_atom_site_type_symbol
_atom_site_fract_x
_atom_site_fract_y
_atom_site_fract_z
Ce1 Ce 0.0000 0.0000 0.0000
Ce2 Ce 0.3333 0.6667 0.5873
Si1 Si 0.1785 0.3570 0.2724
Rh1 Rh 0.3333 0.6667 0.0585
Au1 Au 0.0000 0.0000 0.5000
```

Peak list (10 most intense, 2θ = 15–90°, low angle first)
d [Å], 2θ (°), I/Imax, h k l
4.490, 19.8, 39, 0 0 2
3.252, 27.4, 73, 0 1 2
2.723, 32.9, 100, 1 1 0
2.328, 38.7, 98, 1 1 2
2.088, 43.3, 34, 2 0 2
2.027, 44.7, 49, 0 1 4
1.657, 55.5, 19, 1 2 2
1.484, 62.6, 24, 0 3 2
1.396, 67.0, 31, 1 2 4
1.362, 69.0, 19, 2 2 0